Starting from a cell relaxed with GGA+U, the XRD peak list of TiV2CdO6 was calculated for Cu Kα, 1.54184 Å.

The 10 most intense peaks (2θ = 15–90°), in order of rising 2θ:
| Position (°2θ) | Rel. int. |
| --- | --- |
| 16.53 | 27 |
| 24.28 | 13 |
| 25.09 | 13 |
| 30.19 | 100 |
| 35.78 | 29 |
| 38.04 | 13 |
| 42.23 | 13 |
| 49.76 | 25 |
| 51.50 | 22 |
| 60.86 | 24 |

Cell and atoms:
```
TiV2CdO6
1.0
5.019 0.000 0.000
0.000 5.019 0.000
0.000 0.000 5.364
Ti V Cd O
1 2 1 6
direct
0.000 0.000 0.000
0.000 0.500 0.345
0.500 0.000 0.345
0.500 0.500 0.907
0.000 0.000 0.664
0.242 0.242 0.161
0.242 0.758 0.161
0.500 0.500 0.527
0.758 0.242 0.161
0.758 0.758 0.161
```